(1)
This entry pairs a crystal structure of TbPrDy2 with its simulated powder X-ray diffraction pattern. Radiation: Cu Kα, 1.54184 Å. Structure: the GGA-PBE geometry in Alexandria.
Lines closer than 0.1° are merged.

Cell lengths 5.593, 3.550, 13.229 Å; angles 90.00, 90.00, 90.00 degrees
Space group Amm2 (No. 38)
Symmetry-distinct sites (fractional):
Tb1 0.000 0.000 0.000
Pr1 0.500 0.000 0.127
Dy1 0.000 0.000 0.741
Dy2 0.500 0.000 0.386

Principal peaks in the range 10 to 90 degrees two-theta, sorted by position:
two_theta	d (Å)	intensity
30.58	2.923	94
31.42	2.847	100
32.00	2.797	49
32.38	2.765	44
36.24	2.479	17
42.62	2.121	16
46.17	1.966	33
54.27	1.690	16
56.15	1.638	17
56.67	1.624	19
57.67	1.599	17
61.57	1.506	29

(2)
This entry pairs a crystal structure of Pm2FeC4 with its simulated powder X-ray diffraction pattern. Radiation: Cu Kα, 1.54184 Å. Structure: the GGA-PBE geometry in Alexandria.
Lines closer than 0.1° are merged.

Cell lengths 7.525, 10.087, 5.173 Å; angles 90.00, 90.00, 90.00 degrees
Space group Ibam (No. 72)
Symmetry-distinct sites (fractional):
Pm1 0.161 0.144 0.000
Fe1 0.000 0.500 0.250
C1 0.161 0.422 0.000
C2 0.169 0.125 0.500

Principal peaks in the range 10 to 90 degrees two-theta, sorted by position:
two_theta	d (Å)	intensity
27.39	3.256	100
29.09	3.070	45
30.69	2.913	73
34.68	2.587	25
35.60	2.522	16
36.93	2.434	30
37.84	2.377	23
42.41	2.132	16
45.10	2.010	15
50.55	1.806	26
54.58	1.681	25
58.11	1.587	32

(3)
This entry pairs a crystal structure of KZrSnF2 with its simulated powder X-ray diffraction pattern. Radiation: Cu Kα, 1.54184 Å. Structure: the GGA-PBE geometry in Alexandria.
Lines closer than 0.1° are merged.

Cell lengths 4.498, 4.498, 5.805 Å; angles 90.00, 90.00, 90.00 degrees
Space group P4/mmm (No. 123)
Symmetry-distinct sites (fractional):
K1 0.000 0.000 0.000
Zr1 0.500 0.500 0.500
Sn1 0.500 0.500 0.000
F1 0.000 0.500 0.500

Principal peaks in the range 10 to 90 degrees two-theta, sorted by position:
two_theta	d (Å)	intensity
19.74	4.498	100
28.05	3.181	66
30.81	2.902	49
32.09	2.790	24
36.86	2.439	42
40.09	2.249	47
42.15	2.144	44
45.06	2.012	24
51.40	1.778	44
55.59	1.653	31
67.11	1.395	19
74.25	1.277	18

(4)
This entry pairs a crystal structure of ZrTiSb4 with its simulated powder X-ray diffraction pattern. Radiation: Cu Kα, 1.54184 Å. Structure: the GGA-PBE geometry in Alexandria.
Lines closer than 0.1° are merged.

Cell lengths 7.294, 5.377, 7.897 Å; angles 90.00, 90.06, 90.00 degrees
Space group C2/m (No. 12)
Symmetry-distinct sites (fractional):
Zr1 0.000 0.000 0.000
Ti1 0.000 0.500 0.500
Sb1 0.126 0.500 0.846
Sb2 0.137 0.000 0.635

Principal peaks in the range 10 to 90 degrees two-theta, sorted by position:
two_theta	d (Å)	intensity
26.93	3.310	83
30.65	2.917	100
33.33	2.688	62
40.10	2.249	74
42.37	2.133	52
43.36	2.087	45
47.03	1.932	20
57.91	1.592	21
64.15	1.452	18
65.81	1.419	12
74.36	1.276	12
80.03	1.199	15

(5)
This entry pairs a crystal structure of KPaTl2I8 with its simulated powder X-ray diffraction pattern. Radiation: Cu Kα, 1.54184 Å. Structure: the GGA-PBE geometry in Alexandria.
Lines closer than 0.1° are merged.

Cell lengths 7.530, 8.357, 10.193 Å; angles 90.06, 90.15, 90.22 degrees
Space group P-1 (No. 2)
Symmetry-distinct sites (fractional):
K1 0.000 0.000 0.000
Pa1 0.000 0.000 0.500
Tl1 0.499 0.500 0.769
I1 0.201 0.699 0.499
I2 0.240 0.131 0.296
I3 0.241 0.129 0.706
I4 0.278 0.674 0.000

Principal peaks in the range 10 to 90 degrees two-theta, sorted by position:
two_theta	d (Å)	intensity
13.70	6.463	36
14.63	6.057	31
15.85	5.591	95
21.05	4.221	46
23.61	3.769	100
24.38	3.651	56
30.08	2.971	24
31.40	2.849	69
31.50	2.840	29
31.93	2.802	22
35.22	2.548	26
36.77	2.444	53

(6)
This entry pairs a crystal structure of NaSrY2S4 with its simulated powder X-ray diffraction pattern. Radiation: Cu Kα, 1.54184 Å. Structure: the GGA-PBE geometry in Alexandria.
Lines closer than 0.1° are merged.

Cell lengths 5.705, 5.705, 11.285 Å; angles 90.00, 90.00, 90.00 degrees
Space group I4/mmm (No. 139)
Symmetry-distinct sites (fractional):
Na1 0.000 0.000 0.000
Sr1 0.000 0.000 0.500
Y1 0.000 0.500 0.250
S1 0.000 0.000 0.245
S2 0.000 0.500 0.000

Principal peaks in the range 10 to 90 degrees two-theta, sorted by position:
two_theta	d (Å)	intensity
17.42	5.092	17
27.17	3.282	39
31.36	2.853	100
31.72	2.821	48
44.94	2.017	35
45.20	2.006	68
53.31	1.718	13
56.05	1.641	35
74.36	1.276	15
74.55	1.273	15
75.13	1.264	14
83.09	1.162	22

(7)
This entry pairs a crystal structure of Pm2PrSm2Ho with its simulated powder X-ray diffraction pattern. Radiation: Cu Kα, 1.54184 Å. Structure: the GGA-PBE geometry in Alexandria.
Lines closer than 0.1° are merged.

Cell lengths 6.674, 18.062, 3.446 Å; angles 90.00, 90.00, 90.00 degrees
Space group Pnnm (No. 58)
Symmetry-distinct sites (fractional):
Pm1 0.225 0.184 0.000
Pr1 0.000 0.000 0.000
Sm1 0.220 0.352 0.500
Ho1 0.000 0.500 0.000

Principal peaks in the range 10 to 90 degrees two-theta, sorted by position:
two_theta	d (Å)	intensity
26.33	3.385	29
28.52	3.130	100
29.17	3.062	25
29.68	3.010	81
29.88	2.991	91
30.84	2.900	42
32.63	2.744	29
33.39	2.684	63
35.42	2.534	42
37.86	2.376	26
40.50	2.227	60
54.69	1.678	24

(8)
This entry pairs a crystal structure of Dy4Er7Mg with its simulated powder X-ray diffraction pattern. Radiation: Cu Kα, 1.54184 Å. Structure: the GGA-PBE geometry in Alexandria.
Lines closer than 0.1° are merged.

Cell lengths 3.5146, 3.5146, 34.0280 Å; angles 90.00, 90.00, 120.00 degrees
Space group P-3m1 (No. 164)
Symmetry-distinct sites (fractional):
Dy1 0.3333 0.6667 0.1623
Dy2 0.3333 0.6667 0.4154
Er1 0.0000 0.0000 0.2469
Er2 0.0000 0.0000 0.5000
Er3 0.3333 0.6667 0.6691
Er4 0.3333 0.6667 0.9216
Mg1 0.0000 0.0000 0.0000

Principal peaks in the range 10 to 90 degrees two-theta, sorted by position:
two_theta	d (Å)	intensity
31.21	2.866	100
31.55	2.836	30
36.29	2.475	65
52.04	1.757	24
52.49	1.743	21
61.94	1.498	14
62.14	1.494	27
62.54	1.485	12
65.10	1.433	12
85.10	1.140	12
87.93	1.111	11
88.64	1.103	9

(9)
This entry pairs a crystal structure of Ba3Bi2PbO9 with its simulated powder X-ray diffraction pattern. Radiation: Cu Kα, 1.54184 Å. Structure: the GGA-PBE geometry in Alexandria.
Lines closer than 0.1° are merged.

Cell lengths 10.768, 6.202, 15.247 Å; angles 90.00, 90.54, 90.00 degrees
Space group C2/m (No. 12)
Symmetry-distinct sites (fractional):
Ba1 0.003 0.000 0.246
Ba2 0.165 0.500 0.084
Ba3 0.169 0.500 0.583
Bi1 0.000 0.000 0.000
Bi2 0.000 0.000 0.500
Bi3 0.168 0.500 0.332
Pb1 0.166 0.500 0.834
O1 0.020 0.500 0.727
O2 0.059 0.251 0.905
O3 0.112 0.254 0.426
O4 0.146 0.000 0.610
O5 0.188 0.000 0.062
O6 0.223 0.251 0.238

Principal peaks in the range 10 to 90 degrees two-theta, sorted by position:
two_theta	d (Å)	intensity
20.17	4.402	7
28.57	3.125	19
28.76	3.104	100
41.00	2.201	22
41.24	2.189	10
50.71	1.800	18
50.95	1.792	17
51.04	1.789	18
59.56	1.552	13
67.29	1.391	8
67.63	1.385	8
82.21	1.173	12

(10)
This entry pairs a crystal structure of Li2FeCu2 with its simulated powder X-ray diffraction pattern. Radiation: Cu Kα, 1.54184 Å. Structure: the GGA-PBE geometry in Alexandria.
Lines closer than 0.1° are merged.

Cell lengths 7.000, 7.000, 2.583 Å; angles 90.00, 90.00, 90.00 degrees
Space group P4/mbm (No. 127)
Symmetry-distinct sites (fractional):
Li1 0.169 0.331 0.000
Fe1 0.000 0.000 0.500
Cu1 0.130 0.630 0.500

Principal peaks in the range 10 to 90 degrees two-theta, sorted by position:
two_theta	d (Å)	intensity
25.45	3.500	16
28.51	3.131	100
34.73	2.583	60
36.30	2.475	12
40.76	2.214	81
45.52	1.993	73
46.79	1.942	22
54.60	1.681	55
59.56	1.552	20
78.98	1.212	16
83.20	1.161	13
87.40	1.116	30

(11)
This entry pairs a crystal structure of Sm12Y6Mg with its simulated powder X-ray diffraction pattern. Radiation: Cu Kα, 1.54184 Å. Structure: the GGA-PBE geometry in Alexandria.
Lines closer than 0.1° are merged.

Cell lengths 13.1296, 13.1296, 12.9419 Å; angles 90.00, 90.00, 120.00 degrees
Space group R-3m (No. 166, hexagonal axes)
Symmetry-distinct sites (fractional):
Sm1 0.0000 0.2609 0.0000
Sm2 0.0564 0.5282 0.1122
Y1 0.0902 0.1803 0.7720
Mg1 0.0000 0.0000 0.0000

Principal peaks in the range 10 to 90 degrees two-theta, sorted by position:
two_theta	d (Å)	intensity
13.49	6.565	39
24.87	3.580	39
28.69	3.112	30
31.42	2.847	87
31.56	2.835	45
31.82	2.812	26
32.24	2.776	100
34.46	2.603	28
35.09	2.557	36
48.56	1.875	25
56.89	1.619	22
58.59	1.575	16

(12)
This entry pairs a crystal structure of Ba3Sr2Li with its simulated powder X-ray diffraction pattern. Radiation: Cu Kα, 1.54184 Å. Structure: the GGA-PBE geometry in Alexandria.
Lines closer than 0.1° are merged.

Cell lengths 6.319, 10.765, 10.108 Å; angles 90.00, 108.21, 90.00 degrees
Space group P2/m (No. 10)
Symmetry-distinct sites (fractional):
Ba1 0.000 0.234 0.000
Ba2 0.326 0.212 0.653
Sr1 0.169 0.500 0.338
Sr2 0.500 0.000 0.000
Sr3 0.500 0.500 0.000
Li1 0.149 0.000 0.298

Principal peaks in the range 10 to 90 degrees two-theta, sorted by position:
two_theta	d (Å)	intensity
19.74	4.497	14
21.41	4.149	14
24.81	3.588	8
25.82	3.451	100
27.87	3.201	22
28.25	3.159	23
33.29	2.691	9
40.10	2.248	17
46.78	1.942	10
48.08	1.893	17
48.55	1.875	18
53.07	1.726	9

(13)
This entry pairs a crystal structure of Ca2Zn4CdSi3 with its simulated powder X-ray diffraction pattern. Radiation: Cu Kα, 1.54184 Å. Structure: the GGA-PBE geometry in Alexandria.
Lines closer than 0.1° are merged.

Cell lengths 4.179, 4.179, 10.929 Å; angles 90.00, 90.00, 90.00 degrees
Space group P-4m2 (No. 115)
Symmetry-distinct sites (fractional):
Ca1 0.000 0.500 0.238
Zn1 0.000 0.000 0.000
Zn2 0.000 0.500 0.648
Zn3 0.500 0.500 0.000
Cd1 0.000 0.000 0.500
Si1 0.000 0.500 0.867
Si2 0.500 0.500 0.500

Principal peaks in the range 10 to 90 degrees two-theta, sorted by position:
two_theta	d (Å)	intensity
16.22	5.464	22
22.78	3.903	21
26.86	3.319	17
32.61	2.746	23
34.51	2.599	100
43.30	2.089	49
45.20	2.006	39
46.91	1.937	19
62.91	1.477	15
65.74	1.420	13
73.77	1.284	19
80.79	1.190	13